# CoPd2F8
Computed PXRD pattern, Cu Kα. Input: DFT lattice parameters and positions (GGA+U).
Neutral-atom scattering factors, no anomalous dispersion.

Most intense lines, 2θ = 10–90°, in order of rising 2θ:
Position (°2θ), d/Å, intensity, index
26.6, 3.349, 954, 1 1 1
27.6, 3.231, 1000, 0 2 1
32.0, 2.798, 128, 0 2 2
46.4, 1.958, 149, 2 0 -1
48.2, 1.887, 450, 1 2 3
48.8, 1.865, 190, 0 3 3
54.8, 1.675, 198, -2 2 2
57.0, 1.615, 251, 0 4 2
62.5, 1.487, 179, 2 1 -2
64.0, 1.455, 139, 1 -1 3

Atomic structure:
Cell: 4.1807 6.4579 6.4626 Å, 60.04 90.00 90.00°
Space group P-1 (No. 2)
Asymmetric unit:
1 Co 0.0000 0.0000 0.0000 [1 per cell]
2 Pd 0.2354 0.3333 0.3336 [2 per cell]
3 F 0.2485 0.1487 0.1504 [2 per cell]
4 F 0.2483 0.1504 0.7010 [2 per cell]
5 F 0.2485 0.7009 0.1484 [2 per cell]
6 F 0.2638 0.6667 0.6665 [2 per cell]